Entry 1:
# Li2PrSnPd
Computed powder X-ray diffraction pattern, Cu Kα (λ = 1.5418 Å). Input: a DFT-relaxed cell (GGA-PBE, Alexandria).
Kinematic intensities with the Lorentz-polarization factor, no thermal factor.

Crystal structure
```
data_Li2PrSnPd
_space_group_name_H-M_alt 'I m m 2'
_space_group_IT_number 44
_cell_length_a 3.829
_cell_length_b 4.482
_cell_length_c 12.383
_cell_angle_alpha 90.00
_cell_angle_beta 90.00
_cell_angle_gamma 90.00
loop_
_space_group_symop_operation_xyz
'x,y,z'
'-x,-y,z'
'-x,y,z'
'x,-y,z'
'x+1/2,y+1/2,z+1/2'
'-x+1/2,-y+1/2,z+1/2'
'-x+1/2,y+1/2,z+1/2'
'x+1/2,-y+1/2,z+1/2'
loop_
_atom_site_label
_atom_site_type_symbol
_atom_site_fract_x
_atom_site_fract_y
_atom_site_fract_z
Li1 Li 0.000 0.000 0.000
Li2 Li 0.000 0.500 0.346
Pr1 Pr 0.000 0.500 0.720
Sn1 Sn 0.000 0.000 0.475
Pd1 Pd 0.000 0.500 0.138
```

Largest 6 diffraction maxima, in order of rising 2θ, 2θ = 10–80°:
d_spacing	I/Imax	index
6.191	28	0 0 2
4.215	43	0 1 1
2.807	36	1 0 3
2.635	100	1 1 2
2.241	21	0 2 0
2.168	21	0 1 5

=====

Entry 2:
# Li2Pr2TlPd5
Computed powder X-ray diffraction pattern, Cu Kα (λ = 1.5418 Å). Input: a DFT-relaxed cell (GGA-PBE, Alexandria).
Kinematic intensities with the Lorentz-polarization factor, no thermal factor.

Crystal structure
```
data_Li2Pr2TlPd5
_space_group_name_H-M_alt 'P 4/m b m'
_space_group_IT_number 127
_space_group_name_Hall '-P 4 2ab'
_cell_length_a 9.735
_cell_length_b 9.735
_cell_length_c 3.890
_cell_angle_alpha 90.00
_cell_angle_beta 90.00
_cell_angle_gamma 90.00
loop_
_atom_site_label
_atom_site_type_symbol
_atom_site_fract_x
_atom_site_fract_y
_atom_site_fract_z
Li1 Li 0.117 0.383 0.000
Pr1 Pr 0.180 0.680 0.000
Tl1 Tl 0.000 0.000 0.000
Pd1 Pd 0.000 0.500 0.500
Pd2 Pd 0.068 0.214 0.500
```

Largest 6 diffraction maxima, in order of rising 2θ, 2θ = 10–80°:
d_spacing	I/Imax	index
2.901	56	2 1 1
2.578	45	2 2 1
2.414	100	3 1 1
2.361	46	4 1 0
2.177	26	4 2 0
1.945	25	0 0 2

=====

Entry 3:
# LiPd2Pt8
Computed powder X-ray diffraction pattern, Cu Kα (λ = 1.5418 Å). Input: a DFT-relaxed cell (GGA-PBE, Alexandria).
Kinematic intensities with the Lorentz-polarization factor, no thermal factor.

Crystal structure
```
data_LiPd2Pt8
_space_group_name_H-M_alt 'I m m m'
_space_group_IT_number 71
_space_group_name_Hall '-I 2 2'
_cell_length_a 3.848
_cell_length_b 7.827
_cell_length_c 11.668
_cell_angle_alpha 90.00
_cell_angle_beta 90.00
_cell_angle_gamma 90.00
loop_
_atom_site_label
_atom_site_type_symbol
_atom_site_fract_x
_atom_site_fract_y
_atom_site_fract_z
Li1 Li 0.000 0.000 0.000
Pd1 Pd 0.000 0.000 0.348
Pt1 Pt 0.000 0.249 0.165
Pt2 Pt 0.000 0.256 0.500
Pt3 Pt 0.000 0.500 0.336
```

Largest 6 diffraction maxima, in order of rising 2θ, 2θ = 10–80°:
d_spacing	I/Imax	index
2.242	100	1 2 3
1.957	17	0 4 0
1.945	16	0 0 6
1.924	16	2 0 0
1.379	10	0 4 6
1.372	11	2 4 0

=====

Entry 4:
# Li7PdPt3
Computed powder X-ray diffraction pattern, Cu Kα (λ = 1.5418 Å). Input: a DFT-relaxed cell (GGA-PBE, Alexandria).
Kinematic intensities with the Lorentz-polarization factor, no thermal factor.

Crystal structure
```
data_Li7PdPt3
_space_group_name_H-M_alt 'C m c m'
_space_group_IT_number 63
_space_group_name_Hall '-C 2c 2'
_cell_length_a 2.711
_cell_length_b 20.866
_cell_length_c 11.949
_cell_angle_alpha 90.00
_cell_angle_beta 90.00
_cell_angle_gamma 90.00
loop_
_atom_site_label
_atom_site_type_symbol
_atom_site_fract_x
_atom_site_fract_y
_atom_site_fract_z
Li1 Li 0.000 0.056 0.133
Li2 Li 0.000 0.097 0.604
Li3 Li 0.000 0.191 0.250
Li4 Li 0.000 0.223 0.591
Pd1 Pd 0.000 0.472 0.250
Pt1 Pt 0.000 0.330 0.250
Pt2 Pt 0.000 0.345 0.562
```

Largest 6 diffraction maxima, in order of rising 2θ, 2θ = 10–80°:
d_spacing	I/Imax	index
5.216	32	0 4 0
3.721	100	0 2 3
3.478	52	0 6 0
2.229	48	1 1 3
2.182	36	0 8 3
1.975	31	1 5 3

=====

Entry 5:
# Li2Pd5Pt2
Computed powder X-ray diffraction pattern, Cu Kα (λ = 1.5418 Å). Input: a DFT-relaxed cell (GGA-PBE, Alexandria).
Kinematic intensities with the Lorentz-polarization factor, no thermal factor.

Crystal structure
```
data_Li2Pd5Pt2
_space_group_name_H-M_alt 'I m m a'
_space_group_IT_number 74
_space_group_name_Hall '-I 2b 2'
_cell_length_a 5.464
_cell_length_b 15.065
_cell_length_c 6.492
_cell_angle_alpha 90.00
_cell_angle_beta 90.00
_cell_angle_gamma 90.00
loop_
_atom_site_label
_atom_site_type_symbol
_atom_site_fract_x
_atom_site_fract_y
_atom_site_fract_z
Li1 Li 0.000 0.035 0.133
Pd1 Pd 0.000 0.250 0.953
Pd2 Pd 0.250 0.113 0.750
Pd3 Pd 0.250 0.154 0.250
Pt1 Pt 0.000 0.000 0.500
Pt2 Pt 0.000 0.250 0.538
```

Largest 6 diffraction maxima, in order of rising 2θ, 2θ = 10–80°:
d_spacing	I/Imax	index
7.532	23	0 2 0
4.180	41	1 0 1
2.798	31	1 4 1
2.459	100	0 4 2
2.211	82	2 4 0
2.090	72	2 0 2

=====

Entry 6:
# Li8Pd2Pt
Computed powder X-ray diffraction pattern, Cu Kα (λ = 1.5418 Å). Input: a DFT-relaxed cell (GGA-PBE, Alexandria).
Kinematic intensities with the Lorentz-polarization factor, no thermal factor.

Crystal structure
```
data_Li8Pd2Pt
_space_group_name_H-M_alt 'C m m m'
_space_group_IT_number 65
_space_group_name_Hall '-C 2 2'
_cell_length_a 7.791
_cell_length_b 10.484
_cell_length_c 4.224
_cell_angle_alpha 90.00
_cell_angle_beta 90.00
_cell_angle_gamma 90.00
loop_
_atom_site_label
_atom_site_type_symbol
_atom_site_fract_x
_atom_site_fract_y
_atom_site_fract_z
Li1 Li 0.000 0.244 0.000
Li2 Li 0.165 0.500 0.000
Li3 Li 0.168 0.129 0.500
Pd1 Pd 0.000 0.373 0.500
Pt1 Pt 0.000 0.000 0.000
```

Largest 6 diffraction maxima, in order of rising 2θ, 2θ = 10–80°:
d_spacing	I/Imax	index
3.895	49	2 0 0
3.500	100	1 1 1
3.188	40	1 3 0
2.227	27	0 4 1
2.165	33	3 1 1
1.933	28	2 4 1